Starting from a GGA-PBE-relaxed structure, the XRD peak list of CePm2Zn4 was computed for a wavelength of 1.5418 Å.
Kinematic intensities with the Lorentz-polarization factor, no thermal factor.

Structure:
```
data_CePm2Zn4
_chemical_formula_sum 'Ce3 Pm6 Zn12'
_cell_length_a 5.0300
_cell_length_b 5.0300
_cell_length_c 24.9175
_cell_angle_alpha 90.00
_cell_angle_beta 90.00
_cell_angle_gamma 120.00
_space_group_name_H-M_alt 'R -3 m'
_space_group_IT_number 166
_space_group_name_Hall '-R 3 2"'
loop_
_atom_site_label
_atom_site_type_symbol
_atom_site_fract_x
_atom_site_fract_y
_atom_site_fract_z
Ce1 Ce 0.0000 0.0000 0.0000
Pm1 Pm 0.0000 0.0000 0.2447
Zn1 Zn 0.0000 0.0000 0.1228
Zn2 Zn 0.0000 0.0000 0.3775
```

Largest 10 diffraction maxima, by angle, 10° ≤ 2θ ≤ 80°:
| (hkl) | Position (°2θ) | I/Imax |
| --- | --- | --- |
| 0 0 3 | 10.65 | 135 |
| 1 0 1 | 20.70 | 171 |
| 0 1 2 | 21.61 | 147 |
| 0 1 5 | 27.19 | 141 |
| 0 1 8 | 35.43 | 986 |
| 1 1 0 | 35.70 | 1000 |
| 2 0 8 | 51.18 | 341 |
| 1 0 16 | 63.43 | 157 |
| 1 2 8 | 63.96 | 342 |
| 3 0 0 | 64.14 | 175 |